Diffraction record for Na3Li3Fe2P2C2O14. The powder XRD pattern is simulated, not measured: it uses DFT lattice parameters and positions (PBE+U) and a wavelength of 1.5418 Å.
Kinematic intensities with the Lorentz-polarization factor, no thermal factor.

Peak list (6 most intense, 10 to 90 degrees two-theta, sorted by position)
hkl 0 0 1, 10.18 deg, I 100; hkl 1 0 -1, 20.85 deg, I 29; hkl 0 2 0, 26.31 deg, I 67; hkl 0 2 2, 33.29 deg, I 28; hkl 0 2 -2, 33.80 deg, I 45; hkl 2 0 1, 36.08 deg, I 27

Atomic structure:
a = 5.1009 Å, b = 6.7755 Å, c = 8.7103 Å
α = 89.16°, β = 85.93°, γ = 89.44°
Fractional coordinates of all 26 atoms:
Na  0.0000  0.0000  0.0000
Na  0.0009  0.4820  0.9952
Na  0.5416  0.9855  0.5169
Li  0.0489  0.7262  0.3637
Li  0.4728  0.2481  0.1505
Li  0.5389  0.5151  0.5324
Fe  0.0648  0.2550  0.6008
Fe  0.4883  0.7399  0.9072
P  0.0036  0.7422  0.6632
P  0.5503  0.2449  0.8455
C  0.5624  0.7308  0.2138
C  0.9511  0.2528  0.3082
O  0.0613  0.9321  0.5644
O  0.1193  0.7493  0.8228
O  0.1279  0.5711  0.5634
O  0.2017  0.2443  0.3237
O  0.3141  0.7368  0.1922
O  0.4302  0.2542  0.6869
O  0.4583  0.4216  0.9498
O  0.4629  0.0585  0.9424
O  0.6517  0.7204  0.3493
O  0.6998  0.7121  0.6886
O  0.7301  0.7365  0.0923
O  0.7918  0.2735  0.4323
O  0.8543  0.2401  0.1757
O  0.8548  0.2453  0.8178